(1)
Computed XRD peak list
Compound: La6PmY5
Radiation: Cu Ka
Structure: a cell relaxed with GGA-PBE
Intensities are scaled so that the largest is 100.

Main lines, in order of rising 2θ (10 to 90 degrees two-theta):
2θ 29.87, I 100
2θ 34.12, I 35
2θ 35.61, I 16
2θ 49.02, I 12
2θ 50.15, I 23
2θ 58.47, I 29
2θ 60.45, I 13
2θ 62.05, I 12
2θ 79.71, I 6
2θ 81.44, I 11

```
La6PmY5
1.0
8.979 -3.716 0.000
8.979 3.716 0.000
-0.246 0.000 6.260
La Pm Y
6 1 5
Direct
0.083 0.584 0.332
0.249 0.751 0.000
0.416 0.917 0.668
0.584 0.083 0.332
0.751 0.249 0.000
0.917 0.416 0.668
0.000 0.000 0.500
0.167 0.167 0.168
0.334 0.334 0.832
0.500 0.500 0.500
0.666 0.666 0.168
0.833 0.833 0.832
```

---

(2)
Computed XRD peak list
Compound: Ba5Sr12Ac
Radiation: Cu Ka
Structure: a cell relaxed with GGA-PBE
Intensities are scaled so that the largest is 100.

Main lines, in order of rising 2θ (10 to 90 degrees two-theta):
2θ 26.18, I 100
2θ 26.38, I 50
2θ 37.07, I 10
2θ 37.65, I 19
2θ 46.07, I 21
2θ 46.44, I 42
2θ 53.87, I 13
2θ 61.36, I 9
2θ 73.45, I 10
2θ 73.90, I 10

```
Ba5Sr12Ac
1.0
7.275 -10.144 0.000
7.275 10.144 0.000
0.000 0.000 6.752
Ba Sr Ac
5 12 1
Direct
0.000 0.000 0.000
0.164 0.836 0.500
0.335 0.665 0.000
0.665 0.335 0.000
0.836 0.164 0.500
0.006 0.338 0.000
0.168 0.500 0.500
0.179 0.179 0.500
0.338 0.006 0.000
0.338 0.338 0.000
0.500 0.168 0.500
0.500 0.832 0.500
0.662 0.662 0.000
0.662 0.994 0.000
0.821 0.821 0.500
0.832 0.500 0.500
0.994 0.662 0.000
0.500 0.500 0.500
```

---

(3)
Computed XRD peak list
Compound: Rb2HfBiSe4
Radiation: Cu Ka
Structure: a cell relaxed with GGA-PBE
Intensities are scaled so that the largest is 100.

Main lines, in order of rising 2θ (10 to 90 degrees two-theta):
2θ 14.38, I 100
2θ 14.91, I 59
2θ 24.78, I 69
2θ 25.66, I 44
2θ 27.06, I 44
2θ 29.02, I 52
2θ 31.03, I 40
2θ 33.10, I 57
2θ 35.57, I 33
2θ 44.99, I 31

```
Rb2HfBiSe4
1.0
0.000 7.203 11.885
3.706 0.000 11.885
3.706 7.203 0.000
Rb Hf Bi Se
4 2 2 8
Direct
0.061 0.061 0.689
0.311 0.311 0.939
0.689 0.689 0.061
0.939 0.939 0.311
0.125 0.125 0.125
0.875 0.875 0.875
0.375 0.375 0.375
0.625 0.625 0.625
0.082 0.291 0.362
0.235 0.638 0.709
0.291 0.082 0.765
0.362 0.765 0.082
0.638 0.235 0.918
0.709 0.918 0.235
0.765 0.362 0.291
0.918 0.709 0.638
```